(1)
Diffraction record for PrNd6Sm2Y. The X-ray powder pattern is theoretical, not measured: it uses a cell relaxed with GGA-PBE and λ = 1.5418 Å (Cu Kα).
Neutral-atom scattering factors, no anomalous dispersion.

Largest 10 diffraction maxima, sorted by position, 10° ≤ 2θ ≤ 90°:
two_theta, I (rel.)
27.3, 171
27.8, 420
29.7, 431
29.9, 567
30.5, 414
30.7, 1000
31.4, 244
32.8, 551
37.2, 201
58.9, 194

a b c (Å): 9.024 9.024 9.873
angles (deg): 94.10 94.10 118.06
Element x y z (fractional)
Pr 0.023 0.977 0.750
Pr 0.977 0.023 0.250
Nd 0.015 0.568 0.686
Nd 0.119 0.752 0.055
Nd 0.248 0.881 0.445
Nd 0.294 0.507 0.880
Nd 0.432 0.985 0.814
Nd 0.493 0.706 0.620
Nd 0.507 0.294 0.380
Nd 0.568 0.015 0.186
Nd 0.706 0.493 0.120
Nd 0.752 0.119 0.555
Nd 0.881 0.248 0.945
Nd 0.985 0.432 0.314
Sm 0.199 0.299 0.544
Sm 0.299 0.199 0.044
Sm 0.701 0.801 0.956
Sm 0.801 0.701 0.456
Y 0.409 0.591 0.250
Y 0.591 0.409 0.750

(2)
Diffraction record for Na12Cd5Ag2. The X-ray powder pattern is theoretical, not measured: it uses a cell relaxed with GGA-PBE and λ = 1.5418 Å (Cu Kα).
Neutral-atom scattering factors, no anomalous dispersion.

Largest 10 diffraction maxima, sorted by position, 10° ≤ 2θ ≤ 90°:
two_theta, I (rel.)
14.3, 1000
16.0, 548
16.6, 267
19.9, 335
21.8, 239
32.3, 233
33.4, 705
33.6, 971
37.2, 337
37.7, 442

a b c (Å): 8.243 8.243 8.362
angles (deg): 100.12 100.12 80.63
Element x y z (fractional)
Na 0.102 0.102 0.227
Na 0.133 0.651 0.120
Na 0.150 0.504 0.678
Na 0.349 0.867 0.880
Na 0.395 0.395 0.348
Na 0.496 0.850 0.322
Na 0.504 0.150 0.678
Na 0.605 0.605 0.652
Na 0.651 0.133 0.120
Na 0.850 0.496 0.322
Na 0.867 0.349 0.880
Na 0.898 0.898 0.773
Cd 0.115 0.115 0.624
Cd 0.260 0.260 0.965
Cd 0.500 0.500 0.000
Cd 0.740 0.740 0.035
Cd 0.885 0.885 0.376
Ag 0.227 0.773 0.500
Ag 0.773 0.227 0.500

(3)
Diffraction record for TlCdInGa. The X-ray powder pattern is theoretical, not measured: it uses a cell relaxed with GGA-PBE and λ = 1.5418 Å (Cu Kα).
Neutral-atom scattering factors, no anomalous dispersion.

Largest 10 diffraction maxima, sorted by position, 10° ≤ 2θ ≤ 90°:
two_theta, I (rel.)
25.2, 268
28.7, 165
31.5, 1000
32.5, 163
36.6, 448
36.9, 242
38.6, 273
39.9, 177
46.4, 286
68.1, 148

a b c (Å): 3.187 3.914 8.364
angles (deg): 90.00 99.15 90.00
Element x y z (fractional)
Tl 0.000 0.000 0.000
Cd 0.392 0.500 0.736
In 0.217 0.500 0.316
Ga 0.799 0.000 0.531